(1)
Starting from a GGA-PBE-relaxed structure, the powder X-ray diffraction pattern of SmCo4Cu was simulated for a wavelength of 1.5418 Å.
Lines closer than 0.1° are merged.

Structural model:
```
data_SmCo4Cu
_chemical_formula_sum 'Sm1 Co4 Cu1'
_symmetry_space_group_name_H-M 'P -6 m 2'
_symmetry_Int_Tables_number 187
_symmetry_space_group_name_Hall 'P -6 2'
_cell_length_a 4.9776
_cell_length_b 4.9776
_cell_length_c 3.9722
_cell_angle_alpha 90.00
_cell_angle_beta 90.00
_cell_angle_gamma 120.00
loop_
_atom_site_label
_atom_site_type_symbol
_atom_site_fract_x
_atom_site_fract_y
_atom_site_fract_z
_atom_site_occupancy
Sm1 Sm 0.0000 0.0000 0.0000 1
Co1 Co 0.5011 0.0022 0.5000 1
Co2 Co 0.6667 0.3333 0.0000 1
Cu1 Cu 0.3333 0.6667 0.0000 1
```

Peak list (12 most intense, 2θ from 5° to 70°, low angle first)
two_theta  Rel. int.
22.38  7
30.60  46
36.09  33
41.92  33
42.88  100
45.68  25
48.03  6
59.55  15
61.52  13
63.72  18
64.89  6
69.58  22

(2)
Starting from a GGA-PBE-relaxed structure, the powder X-ray diffraction pattern of Tm2CoCu was simulated for a wavelength of 1.5418 Å.
Lines closer than 0.1° are merged.

Structural model:
```
data_Tm2CoCu
_chemical_formula_sum 'Tm8 Co4 Cu4'
_symmetry_space_group_name_H-M 'F m -3 m'
_symmetry_Int_Tables_number 225
_symmetry_space_group_name_Hall '-F 4 2 3'
_cell_length_a 6.706
_cell_length_b 6.706
_cell_length_c 6.706
_cell_angle_alpha 90.00
_cell_angle_beta 90.00
_cell_angle_gamma 90.00
loop_
_atom_site_label
_atom_site_type_symbol
_atom_site_fract_x
_atom_site_fract_y
_atom_site_fract_z
_atom_site_occupancy
Tm1 Tm 0.250 0.250 0.250 1
Co1 Co 0.000 0.000 0.000 1
Cu1 Cu 0.000 0.000 0.500 1
```

Peak list (6 most intense, 2θ from 5° to 70°, low angle first)
two_theta  Rel. int.
26.59  24
37.95  100
46.94  7
54.76  17
61.88  10
68.56  34

(3)
Starting from a GGA-PBE-relaxed structure, the powder X-ray diffraction pattern of Y2Co14Cu3 was simulated for a wavelength of 1.5418 Å.
Lines closer than 0.1° are merged.

Structural model:
```
data_Y2Co14Cu3
_chemical_formula_sum 'Y4 Co28 Cu6'
_symmetry_space_group_name_H-M 'P 63/m m c'
_symmetry_Int_Tables_number 194
_symmetry_space_group_name_Hall '-P 6c 2c'
_cell_length_a 8.3182
_cell_length_b 8.3182
_cell_length_c 8.1472
_cell_angle_alpha 90.00
_cell_angle_beta 90.00
_cell_angle_gamma 120.00
loop_
_atom_site_label
_atom_site_type_symbol
_atom_site_fract_x
_atom_site_fract_y
_atom_site_fract_z
_atom_site_occupancy
Y1 Y 0.0000 0.0000 0.2500 1
Y2 Y 0.3333 0.6667 0.2500 1
Co1 Co 0.0469 0.3741 0.7500 1
Co2 Co 0.1615 0.3229 0.0142 1
Co3 Co 0.3333 0.6667 0.6104 1
Cu1 Cu 0.0000 0.5000 0.0000 1
```

Peak list (12 most intense, 2θ from 5° to 70°, low angle first)
two_theta  Rel. int.
30.72  21
37.45  31
41.65  34
43.52  66
43.76  100
44.48  38
47.27  13
49.19  52
49.85  13
63.42  11
63.98  16
66.19  11

(4)
Starting from a GGA-PBE-relaxed structure, the powder X-ray diffraction pattern of DyCo2 was simulated for a wavelength of 1.5418 Å.
Lines closer than 0.1° are merged.

Structural model:
Cell: 7.167 7.167 7.167 Å, 90.00 90.00 90.00°
Space group Fd-3m (No. 227, origin choice 2)
Inequivalent atoms, fractional coordinates:
Dy1 0.125 0.125 0.125 [8 per cell]
Co1 0.000 0.000 0.500 [16 per cell]

Peak list (8 most intense, 2θ from 5° to 70°, low angle first)
two_theta  Rel. int.
21.48  15
35.43  66
41.80  100
43.76  14
50.97  1
55.92  4
63.60  24
67.96  30

(5)
Starting from a GGA-PBE-relaxed structure, the powder X-ray diffraction pattern of Dy2Co7 was simulated for a wavelength of 1.5418 Å.
Lines closer than 0.1° are merged.

Structural model:
```
data_Dy2Co7
_chemical_formula_sum 'Dy12 Co42'
_symmetry_space_group_name_H-M 'R -3 m'
_symmetry_Int_Tables_number 166
_symmetry_space_group_name_Hall '-R 3 2"'
_cell_length_a 4.9479
_cell_length_b 4.9479
_cell_length_c 36.1911
_cell_angle_alpha 90.00
_cell_angle_beta 90.00
_cell_angle_gamma 120.00
loop_
_atom_site_label
_atom_site_type_symbol
_atom_site_fract_x
_atom_site_fract_y
_atom_site_fract_z
_atom_site_occupancy
Dy1 Dy 0.0000 0.0000 0.0518 1
Dy2 Dy 0.0000 0.0000 0.1485 1
Co1 Co 0.0000 0.0000 0.2787 1
Co2 Co 0.0000 0.0000 0.3884 1
Co3 Co 0.0000 0.0000 0.5000 1
Co4 Co 0.0000 0.5000 0.0000 1
Co5 Co 0.9999 0.4999 0.1090 1
```

Peak list (12 most intense, 2θ from 5° to 70°, low angle first)
two_theta  Rel. int.
32.38  44
34.37  32
36.31  50
42.26  35
42.92  100
45.09  15
62.87  14
64.09  11
65.58  9
66.07  9
67.79  12
69.89  22

(6)
Starting from a GGA-PBE-relaxed structure, the powder X-ray diffraction pattern of Dy2Co17 was simulated for a wavelength of 1.5418 Å.
Lines closer than 0.1° are merged.

Structural model:
```
data_Dy2Co17
_chemical_formula_sum 'Dy4 Co34'
_symmetry_space_group_name_H-M 'P 63/m m c'
_symmetry_Int_Tables_number 194
_symmetry_space_group_name_Hall '-P 6c 2c'
_cell_length_a 8.2999
_cell_length_b 8.2999
_cell_length_c 8.1051
_cell_angle_alpha 90.00
_cell_angle_beta 90.00
_cell_angle_gamma 120.00
loop_
_atom_site_label
_atom_site_type_symbol
_atom_site_fract_x
_atom_site_fract_y
_atom_site_fract_z
_atom_site_occupancy
Dy1 Dy 0.0000 0.0000 0.2500 1
Dy2 Dy 0.3333 0.6667 0.2500 1
Co1 Co 0.0000 0.5000 0.0000 1
Co2 Co 0.0473 0.3762 0.7500 1
Co3 Co 0.1668 0.3335 0.0202 1
Co4 Co 0.3333 0.6667 0.6072 1
```

Peak list (12 most intense, 2θ from 5° to 70°, low angle first)
two_theta  Rel. int.
30.84  43
34.83  12
37.54  40
41.83  39
43.62  64
43.90  100
44.72  32
47.46  16
49.34  18
63.61  18
64.25  17
66.42  10

(7)
Starting from a GGA-PBE-relaxed structure, the powder X-ray diffraction pattern of Dy2Co17 was simulated for a wavelength of 1.5418 Å.
Lines closer than 0.1° are merged.

Structural model:
```
data_Dy2Co17
_chemical_formula_sum 'Dy6 Co51'
_symmetry_space_group_name_H-M 'R -3 m'
_symmetry_Int_Tables_number 166
_symmetry_space_group_name_Hall '-R 3 2"'
_cell_length_a 8.3041
_cell_length_b 8.3041
_cell_length_c 12.1369
_cell_angle_alpha 90.00
_cell_angle_beta 90.00
_cell_angle_gamma 120.00
loop_
_atom_site_label
_atom_site_type_symbol
_atom_site_fract_x
_atom_site_fract_y
_atom_site_fract_z
_atom_site_occupancy
Dy1 Dy 0.0000 0.0000 0.1561 1
Co1 Co 0.0000 0.0000 0.4033 1
Co2 Co 0.0000 0.2885 0.5000 1
Co3 Co 0.0000 0.5000 0.0000 1
Co4 Co 0.0024 0.5012 0.3472 1
```

Peak list (12 most intense, 2θ from 5° to 70°, low angle first)
two_theta  Rel. int.
30.86  41
32.01  11
33.79  8
37.52  42
38.83  33
43.60  65
43.90  100
44.79  51
45.06  15
49.34  20
63.62  28
64.28  27

(8)
Starting from a GGA-PBE-relaxed structure, the powder X-ray diffraction pattern of Dy6GaCo2 was simulated for a wavelength of 1.5418 Å.
Lines closer than 0.1° are merged.

Structural model:
```
data_Dy6GaCo2
_chemical_formula_sum 'Dy24 Ga4 Co8'
_symmetry_space_group_name_H-M 'I m m m'
_symmetry_Int_Tables_number 71
_symmetry_space_group_name_Hall '-I 2 2'
_cell_length_a 9.275
_cell_length_b 9.544
_cell_length_c 9.931
_cell_angle_alpha 90.00
_cell_angle_beta 90.00
_cell_angle_gamma 90.00
loop_
_atom_site_label
_atom_site_type_symbol
_atom_site_fract_x
_atom_site_fract_y
_atom_site_fract_z
_atom_site_occupancy
Dy1 Dy 0.000 0.200 0.233 1
Dy2 Dy 0.193 0.500 0.178 1
Dy3 Dy 0.217 0.317 0.500 1
Ga1 Ga 0.000 0.000 0.000 1
Ga2 Ga 0.000 0.000 0.500 1
Co1 Co 0.000 0.365 0.000 1
Co2 Co 0.000 0.500 0.387 1
```

Peak list (12 most intense, 2θ from 5° to 70°, low angle first)
two_theta  Rel. int.
26.30  18
28.56  22
29.48  20
30.39  24
32.40  100
34.59  39
34.86  46
35.40  41
35.77  18
38.84  21
59.31  23
60.73  25

(9)
Starting from a GGA-PBE-relaxed structure, the powder X-ray diffraction pattern of Dy2Ga3Co was simulated for a wavelength of 1.5418 Å.
Lines closer than 0.1° are merged.

Structural model:
```
data_Dy2Ga3Co
_chemical_formula_sum 'Dy4 Ga6 Co2'
_symmetry_space_group_name_H-M 'C 1 m 1'
_symmetry_Int_Tables_number 8
_cell_length_a 10.292
_cell_length_b 4.300
_cell_length_c 7.055
_cell_angle_alpha 90.00
_cell_angle_beta 132.08
_cell_angle_gamma 90.00
loop_
_symmetry_equiv_pos_as_xyz
'x,y,z'
'x,-y,z'
'x+1/2,y+1/2,z'
'x+1/2,-y+1/2,z'
loop_
_atom_site_label
_atom_site_type_symbol
_atom_site_fract_x
_atom_site_fract_y
_atom_site_fract_z
_atom_site_occupancy
Dy1 Dy 0.000 0.000 0.000 1
Dy2 Dy 0.087 0.000 0.590 1
Ga1 Ga 0.209 0.500 0.391 1
Ga2 Ga 0.365 0.000 0.166 1
Ga3 Ga 0.396 0.000 0.611 1
Co1 Co 0.205 0.500 0.001 1
```

Peak list (12 most intense, 2θ from 5° to 70°, low angle first)
two_theta  Rel. int.
23.75  33
33.68  24
34.05  37
34.25  31
34.75  100
34.98  38
35.12  72
41.20  72
42.03  51
55.29  15
55.80  20
67.43  18

> Number 4 is which compound?

DyCo2

> Which formula does entry 4 have?

DyCo2